# 1
Diffraction record for Y2ScIn. The X-ray diffraction stick pattern is theoretical, not measured: it uses a PBE-relaxed structure and Cu Kα (weighted mean of Kα1 and Kα2).
No peak broadening, texture or thermal motion is included.

Top 6 peaks for 10 to 80 degrees two-theta, low angle first:
two_theta  d [Å]  intensity  index
32.6  2.746  100  1 1 1
37.6  2.390  33  2 0 0
38.2  2.355  16  0 0 2
54.7  1.677  22  2 0 2
64.8  1.439  26  3 1 1
65.6  1.424  12  1 1 3

Structure:
```
data_Y2ScIn
_chemical_formula_sum 'Y2 Sc1 In1'
_symmetry_space_group_name_H-M 'P 4/m m m'
_symmetry_Int_Tables_number 123
_symmetry_space_group_name_Hall '-P 4 2'
_cell_length_a 4.779
_cell_length_b 4.779
_cell_length_c 4.710
_cell_angle_alpha 90.00
_cell_angle_beta 90.00
_cell_angle_gamma 90.00
loop_
_atom_site_label
_atom_site_fract_x
_atom_site_fract_y
_atom_site_fract_z
Y1 0.000 0.500 0.000
Sc1 0.000 0.000 0.500
In1 0.500 0.500 0.500
```

=====

# 2
Diffraction record for Ba3Sr8Ca2. The X-ray diffraction stick pattern is theoretical, not measured: it uses a PBE-relaxed structure and Cu Kα (weighted mean of Kα1 and Kα2).
No peak broadening, texture or thermal motion is included.

Top 6 peaks for 10 to 80 degrees two-theta, low angle first:
two_theta  d [Å]  intensity  index
24.4  3.648  21  1 5 1
24.9  3.573  23  2 2 1
25.3  3.521  23  0 6 1
26.1  3.416  42  0 0 2
27.9  3.193  100  2 4 1
47.2  1.926  23  2 4 3

Structure:
```
data_Ba3Sr8Ca2
_chemical_formula_sum 'Ba6 Sr16 Ca4'
_symmetry_space_group_name_H-M 'C m m m'
_symmetry_Int_Tables_number 65
_symmetry_space_group_name_Hall '-C 2 2'
_cell_length_a 8.915
_cell_length_b 24.656
_cell_length_c 6.833
_cell_angle_alpha 90.00
_cell_angle_beta 90.00
_cell_angle_gamma 90.00
loop_
_atom_site_label
_atom_site_fract_x
_atom_site_fract_y
_atom_site_fract_z
Ba1 0.000 0.000 0.000
Ba2 0.231 0.500 0.500
Sr1 0.000 0.146 0.500
Sr2 0.000 0.325 0.500
Sr3 0.222 0.383 0.000
Ca1 0.000 0.242 0.000
```

=====

# 3
Diffraction record for CsRb2SbSe4. The X-ray diffraction stick pattern is theoretical, not measured: it uses a PBE-relaxed structure and Cu Kα (weighted mean of Kα1 and Kα2).
No peak broadening, texture or thermal motion is included.

Top 6 peaks for 10 to 80 degrees two-theta, low angle first:
two_theta  d [Å]  intensity  index
14.1  6.289  31  1 0 1
19.6  4.531  37  2 0 0
24.2  3.676  53  2 1 1
24.7  3.609  100  1 1 2
27.8  3.204  46  2 2 0
37.5  2.396  89  1 3 2

Structure:
```
data_CsRb2SbSe4
_chemical_formula_sum 'Cs2 Rb4 Sb2 Se8'
_symmetry_space_group_name_H-M 'I -4'
_symmetry_Int_Tables_number 82
_cell_length_a 9.062
_cell_length_b 9.062
_cell_length_c 8.736
_cell_angle_alpha 90.00
_cell_angle_beta 90.00
_cell_angle_gamma 90.00
loop_
_symmetry_equiv_pos_as_xyz
'x,y,z'
'y,-x,-z'
'-x,-y,z'
'-y,x,-z'
'x+1/2,y+1/2,z+1/2'
'y+1/2,-x+1/2,-z+1/2'
'-x+1/2,-y+1/2,z+1/2'
'-y+1/2,x+1/2,-z+1/2'
loop_
_atom_site_label
_atom_site_fract_x
_atom_site_fract_y
_atom_site_fract_z
Cs1 0.000 0.000 0.000
Rb1 0.000 0.000 0.500
Rb2 0.000 0.500 0.750
Sb1 0.000 0.500 0.250
Se1 0.153 0.331 0.414
```

=====

# 4
Diffraction record for ThBeAl2Pd4. The X-ray diffraction stick pattern is theoretical, not measured: it uses a PBE-relaxed structure and Cu Kα (weighted mean of Kα1 and Kα2).
No peak broadening, texture or thermal motion is included.

Top 6 peaks for 10 to 80 degrees two-theta, low angle first:
two_theta  d [Å]  intensity  index
25.2  3.539  40  0 1 2
29.8  2.994  66  0 1 5
34.5  2.601  89  1 0 7
37.1  2.422  62  0 1 8
42.5  2.125  100  1 1 0
55.9  1.645  30  0 2 7

Structure:
```
data_ThBeAl2Pd4
_chemical_formula_sum 'Th3 Be3 Al6 Pd12'
_symmetry_space_group_name_H-M 'R -3 m'
_symmetry_Int_Tables_number 166
_symmetry_space_group_name_Hall '-R 3 2"'
_cell_length_a 4.2506
_cell_length_b 4.2506
_cell_length_c 25.7237
_cell_angle_alpha 90.00
_cell_angle_beta 90.00
_cell_angle_gamma 120.00
loop_
_atom_site_label
_atom_site_fract_x
_atom_site_fract_y
_atom_site_fract_z
Th1 0.0000 0.0000 0.0000
Be1 0.0000 0.0000 0.5000
Al1 0.0000 0.0000 0.2356
Pd1 0.0000 0.0000 0.1355
Pd2 0.0000 0.0000 0.4055
```

=====

# 5
Diffraction record for TbPmDyHo3. The X-ray diffraction stick pattern is theoretical, not measured: it uses a PBE-relaxed structure and Cu Kα (weighted mean of Kα1 and Kα2).
No peak broadening, texture or thermal motion is included.

Top 6 peaks for 10 to 80 degrees two-theta, low angle first:
two_theta  d [Å]  intensity  index
30.5  2.931  100  5 1 -1
31.4  2.850  21  4 0 -2
31.9  2.808  50  0 2 0
33.1  2.703  64  3 1 2
35.7  2.518  26  7 1 0
57.6  1.600  17  3 3 2

Structure:
```
data_TbPmDyHo3
_chemical_formula_sum 'Tb4 Pm4 Dy4 Ho12'
_symmetry_space_group_name_H-M 'C 1 2/m 1'
_symmetry_Int_Tables_number 12
_cell_length_a 19.724
_cell_length_b 5.615
_cell_length_c 6.985
_cell_angle_alpha 90.00
_cell_angle_beta 90.05
_cell_angle_gamma 90.00
loop_
_symmetry_equiv_pos_as_xyz
'x,y,z'
'-x,-y,-z'
'-x,y,-z'
'x,-y,z'
'x+1/2,y+1/2,z'
'-x+1/2,-y+1/2,-z'
'-x+1/2,y+1/2,-z'
'x+1/2,-y+1/2,z'
loop_
_atom_site_label
_atom_site_fract_x
_atom_site_fract_y
_atom_site_fract_z
Tb1 0.149 0.000 0.458
Pm1 0.145 0.000 0.030
Dy1 0.055 0.500 0.264
Ho1 0.023 0.000 0.741
Ho2 0.163 0.500 0.736
Ho3 0.221 0.500 0.244
```

=====

# 6
Diffraction record for ScMn2Cl2. The X-ray diffraction stick pattern is theoretical, not measured: it uses a PBE-relaxed structure and Cu Kα (weighted mean of Kα1 and Kα2).
No peak broadening, texture or thermal motion is included.

Top 6 peaks for 10 to 80 degrees two-theta, low angle first:
two_theta  d [Å]  intensity  index
31.8  2.813  17  1 1 1
38.9  2.316  100  2 1 1
40.4  2.234  47  3 1 0
60.5  1.531  12  4 1 1
69.4  1.354  16  3 1 2
78.1  1.224  15  5 2 1

Structure:
```
data_ScMn2Cl2
_chemical_formula_sum 'Sc2 Mn4 Cl4'
_symmetry_space_group_name_H-M 'P 4/m b m'
_symmetry_Int_Tables_number 127
_symmetry_space_group_name_Hall '-P 4 2ab'
_cell_length_a 7.065
_cell_length_b 7.065
_cell_length_c 3.405
_cell_angle_alpha 90.00
_cell_angle_beta 90.00
_cell_angle_gamma 90.00
loop_
_atom_site_label
_atom_site_fract_x
_atom_site_fract_y
_atom_site_fract_z
Sc1 0.000 0.000 0.000
Mn1 0.152 0.348 0.500
Cl1 0.159 0.659 0.000
```